This entry pairs a crystal structure of SrTi4SnO12 with its simulated powder diffraction line list. Radiation: CuKα. Structure: a cell relaxed with PBE.
Neutral-atom scattering factors, no anomalous dispersion.

Principal peaks in the range 15 to 90 degrees two-theta, in order of rising 2θ:
2θ (°)  I (rel.)
19.75  91
32.52  100
38.33  51
40.11  16
46.65  54
51.13  22
58.02  39
61.91  17
68.11  30
71.70  17

Atomic structure:
a = 5.5096 Å, b = 5.5096 Å, c = 7.7797 Å
α = 90.00°, β = 90.00°, γ = 90.00°
Space group P4/mmm (No. 123)
Symmetry-distinct sites (fractional):
Sr (0.0000, 0.0000, 0.0000) x1
Ti (0.0000, 0.5000, 0.2505) x4
Sn (0.5000, 0.5000, 0.5000) x1
O (0.0000, 0.5000, 0.0000) x2
O (0.0000, 0.5000, 0.5000) x2
O (0.2527, 0.2527, 0.2555) x8

=====

This entry pairs a crystal structure of Na3B5C with its simulated powder diffraction line list. Radiation: CuKα. Structure: a cell relaxed with PBE.
Neutral-atom scattering factors, no anomalous dispersion.

Principal peaks in the range 15 to 90 degrees two-theta, in order of rising 2θ:
2θ (°)  I (rel.)
35.09  19
41.06  100
41.99  24
55.84  10
62.95  18
74.16  2
76.09  12
77.95  11
78.58  17
89.07  2

Atomic structure:
a = 2.9530 Å, b = 2.9530 Å, c = 25.8177 Å
α = 90.00°, β = 90.00°, γ = 120.00°
Space group P-6m2 (No. 187)
Symmetry-distinct sites (fractional):
Na (0.0000, 0.0000, 0.0840) x2
Na (0.0000, 0.0000, 0.2475) x2
Na (0.0000, 0.0000, 0.4156) x2
B (0.3333, 0.6667, 0.0000) x1
B (0.3333, 0.6667, 0.1660) x2
B (0.3333, 0.6667, 0.3316) x2
B (0.3333, 0.6667, 0.5000) x1
B (0.6667, 0.3333, 0.0000) x1
B (0.6667, 0.3333, 0.3316) x2
B (0.6667, 0.3333, 0.5000) x1
C (0.6667, 0.3333, 0.1660) x2

=====

This entry pairs a crystal structure of Ta4AsIr with its simulated powder diffraction line list. Radiation: CuKα. Structure: a cell relaxed with PBE.
Neutral-atom scattering factors, no anomalous dispersion.

Principal peaks in the range 15 to 90 degrees two-theta, in order of rising 2θ:
2θ (°)  I (rel.)
20.19  20
33.27  18
39.22  100
41.05  51
47.76  9
59.44  7
63.45  33
69.85  29
83.15  12
84.34  20

Atomic structure:
a = 7.6176 Å, b = 7.6176 Å, c = 7.6176 Å
α = 90.00°, β = 90.00°, γ = 90.00°
Space group F-43m (No. 216)
Symmetry-distinct sites (fractional):
Ta (0.1248, 0.1248, 0.1248) x16
As (0.2500, 0.2500, 0.7500) x4
Ir (0.0000, 0.0000, 0.5000) x4

=====

This entry pairs a crystal structure of NaPr5Pb3 with its simulated powder diffraction line list. Radiation: CuKα. Structure: a cell relaxed with PBE.
Neutral-atom scattering factors, no anomalous dispersion.

Principal peaks in the range 15 to 90 degrees two-theta, in order of rising 2θ:
2θ (°)  I (rel.)
26.45  16
31.39  100
32.16  73
41.50  27
45.56  27
55.88  18
56.37  29
64.21  26
74.87  13
81.82  12

Atomic structure:
a = 9.8719 Å, b = 9.8719 Å, c = 6.7405 Å
α = 90.00°, β = 90.00°, γ = 120.00°
Space group P6_3/mcm (No. 193)
Symmetry-distinct sites (fractional):
Na (0.0000, 0.0000, 0.0000) x2
Pr (0.0000, 0.3162, 0.2500) x6
Pr (0.3333, 0.6667, 0.0000) x4
Pb (0.0000, 0.3467, 0.7500) x6